For CsRbMg14O15, DFT lattice parameters and positions (PBE) gives the computed powder X-ray diffraction pattern in this record (Cu Ka).
Neutral-atom scattering factors, no anomalous dispersion.

Crystal structure
Cell: 4.1547 8.6102 10.7326 Å, 90.00 90.00 90.00°
Space group Pmm2 (No. 25)
One atom of each set of equivalent atoms:
Cs 0.0000 0.0000 0.0000 [1 per cell]
Rb 0.0000 0.5000 0.4605 [1 per cell]
Mg 0.0000 0.0000 0.5515 [1 per cell]
Mg 0.0000 0.2211 0.3331 [2 per cell]
Mg 0.0000 0.2564 0.7469 [2 per cell]
Mg 0.0000 0.5000 0.0408 [1 per cell]
Mg 0.5000 0.0000 0.3500 [1 per cell]
Mg 0.5000 0.0000 0.7365 [1 per cell]
Mg 0.5000 0.2385 0.1416 [2 per cell]
Mg 0.5000 0.2647 0.5630 [2 per cell]
Mg 0.5000 0.5000 0.2623 [1 per cell]
Mg 0.5000 0.5000 0.7846 [1 per cell]
O 0.0000 0.0000 0.3580 [1 per cell]
O 0.0000 0.0000 0.7452 [1 per cell]
O 0.0000 0.2356 0.5513 [2 per cell]
O 0.0000 0.2950 0.1534 [2 per cell]
O 0.0000 0.5000 0.8404 [1 per cell]
O 0.5000 0.0000 0.1611 [1 per cell]
O 0.5000 0.0000 0.5436 [1 per cell]
O 0.5000 0.2421 0.7658 [2 per cell]
O 0.5000 0.2847 0.3390 [2 per cell]
O 0.5000 0.5000 0.0808 [1 per cell]
O 0.5000 0.5000 0.5970 [1 per cell]

Peak list (10 most intense, 2θ = 5–70°, in order of falling intensity)
- 34.34°, d 2.612, I = 100
- 43.57°, d 2.077, I = 81
- 41.97°, d 2.153, I = 80
- 27.14°, d 3.285, I = 63
- 26.54°, d 3.358, I = 63
- 13.18°, d 6.716, I = 57
- 34.69°, d 2.586, I = 54
- 62.11°, d 1.494, I = 52
- 25.21°, d 3.533, I = 49
- 26.99°, d 3.304, I = 42

For MnGa2Ir3, DFT lattice parameters and positions (PBE) gives the computed powder X-ray diffraction pattern in this record (Cu Ka).
Neutral-atom scattering factors, no anomalous dispersion.

Crystal structure
Cell: 4.3266 12.9743 6.0786 Å, 90.00 90.00 90.00°
Space group Cmmm (No. 65)
One atom of each set of equivalent atoms:
Mn 0.0000 0.1682 0.0000 [4 per cell]
Ga 0.0000 0.1673 0.5000 [4 per cell]
Ga 0.0000 0.5000 0.0000 [2 per cell]
Ga 0.0000 0.5000 0.5000 [2 per cell]
Ir 0.0000 0.0000 0.2524 [4 per cell]
Ir 0.0000 0.3346 0.2527 [8 per cell]

Peak list (10 most intense, 2θ = 5–70°, in order of falling intensity)
- 41.90°, d 2.156, I = 100
- 41.76°, d 2.163, I = 50
- 29.20°, d 3.059, I = 29
- 60.54°, d 1.529, I = 17
- 29.39°, d 3.039, I = 14
- 51.89°, d 1.762, I = 13
- 60.97°, d 1.520, I = 8
- 68.61°, d 1.368, I = 6
- 68.71°, d 1.366, I = 6
- 69.01°, d 1.361, I = 6

For Tb2CdTe4, DFT lattice parameters and positions (PBE) gives the computed powder X-ray diffraction pattern in this record (Cu Ka).
Neutral-atom scattering factors, no anomalous dispersion.

Crystal structure
Cell: 12.6801 12.6801 12.6801 Å, 90.00 90.00 90.00°
Space group Fd-3m (No. 227, origin choice 2)
One atom of each set of equivalent atoms:
Tb 0.0000 0.0000 0.0000 [16 per cell]
Cd 0.1250 0.1250 0.6250 [8 per cell]
Te 0.0057 0.0057 0.2443 [32 per cell]

Peak list (10 most intense, 2θ = 5–70°, in order of falling intensity)
- 40.23°, d 2.242, I = 100
- 28.15°, d 3.170, I = 74
- 23.27°, d 3.823, I = 53
- 36.83°, d 2.440, I = 30
- 65.88°, d 1.418, I = 25
- 49.82°, d 1.830, I = 20
- 58.21°, d 1.585, I = 16
- 12.09°, d 7.321, I = 15
- 55.68°, d 1.651, I = 13
- 19.80°, d 4.483, I = 10

For Dy2Pd7Pt3, DFT lattice parameters and positions (PBE) gives the computed powder X-ray diffraction pattern in this record (Cu Ka).
Neutral-atom scattering factors, no anomalous dispersion.

Crystal structure
Cell: 4.5432 4.9454 10.6228 Å, 100.95 91.70 113.21°
Space group P-1 (No. 2)
One atom of each set of equivalent atoms:
Dy 0.2284 0.4419 0.2673 [2 per cell]
Pd 0.0000 0.0000 0.0000 [1 per cell]
Pd 0.0897 0.1963 0.7718 [2 per cell]
Pd 0.1614 0.3080 0.5273 [2 per cell]
Pd 0.4622 0.9324 0.8678 [2 per cell]
Pt 0.4537 0.9291 0.6140 [2 per cell]
Pt 0.5000 0.5000 0.0000 [1 per cell]

Peak list (10 most intense, 2θ = 5–70°, in order of falling intensity)
- 40.03°, d 2.252, I = 100
- 37.91°, d 2.373, I = 96
- 43.41°, d 2.085, I = 88
- 39.79°, d 2.266, I = 70
- 38.80°, d 2.321, I = 58
- 37.40°, d 2.404, I = 56
- 44.20°, d 2.049, I = 41
- 39.91°, d 2.259, I = 40
- 31.74°, d 2.819, I = 38
- 23.51°, d 3.784, I = 31